The following is a calculated X-ray diffraction stick pattern of NdSnBi. It was derived from the PBE geometry in Alexandria, using Cu Kα (λ = 1.5418 Å).
Peak positions follow from Bragg's law for the DFT cell and can differ from measured ones.

Cell and atoms:
Unit cell a=4.6529 b=17.1861 c=4.5069 alpha=90.00 beta=90.00 gamma=90.00
Fractional positions:
1 Nd 0.0000 0.0999 0.2500
2 Nd 0.0000 0.9001 0.7500
3 Nd 0.5000 0.4001 0.7500
4 Nd 0.5000 0.5999 0.2500
5 Sn 0.0000 0.4422 0.2500
6 Sn 0.0000 0.5578 0.7500
7 Sn 0.5000 0.0578 0.7500
8 Sn 0.5000 0.9422 0.2500
9 Bi 0.0000 0.2506 0.7500
10 Bi 0.0000 0.7494 0.2500
11 Bi 0.5000 0.2494 0.2500
12 Bi 0.5000 0.7506 0.7500

The 10 most intense peaks (2θ from 10° to 80°), in order of falling intensity:
| hkl | 2θ/deg | I (rel.) |
| --- | --- | --- |
| 1 3 1 | 31.7 | 1000 |
| 0 6 0 | 31.2 | 198 |
| 2 0 0 | 38.7 | 162 |
| 0 0 2 | 40.0 | 148 |
| 3 3 1 | 65.7 | 128 |
| 1 3 3 | 67.5 | 119 |
| 2 0 2 | 56.9 | 107 |
| 2 6 0 | 50.5 | 105 |
| 0 6 2 | 51.6 | 99 |
| 1 9 1 | 55.9 | 96 |